Structure and computed X-ray powder pattern of Cu2Ag3 (the GGA-PBE geometry in OQMD; CuKα).

abc: 6.8748 2.8439 8.1658
angles: 90.00 103.56 90.00
Fractional positions:
Cu 0.0000 0.0000 0.0000
Cu 0.0847 0.5000 0.2853
Cu 0.5000 0.5000 0.5000
Cu 0.9153 0.5000 0.7147
Ag 0.2017 0.0000 0.5819
Ag 0.2926 0.5000 0.8993
Ag 0.3861 0.0000 0.2140
Ag 0.6139 0.0000 0.7860
Ag 0.7074 0.5000 0.1007
Ag 0.7983 0.0000 0.4181

The 6 most intense peaks (2θ from 5° to 70°), by angle:
hkl  2θ (°)  Rel. int.
3 0 -1  39.4  99
1 1 -2  39.5  100
2 1 1  45.0  68
2 0 -4  47.5  26
4 1 -3  67.4  17
0 1 5  67.6  19